Diffraction record for LiSm4Mo4O14. The powder X-ray diffraction pattern is calculated, not measured: it uses a crystal structure in Alexandria, relaxed with GGA+U and CuKα.

Structural model:
abc: 7.4784 7.4864 7.5073
angles: 60.82 60.73 60.64
Positions (direct):
Li (0.0000, 0.0000, 0.0000)
Sm (0.2695, 0.6996, 0.2588)
Sm (0.2765, 0.7337, 0.7257)
Sm (0.2910, 0.2336, 0.7484)
Sm (0.7592, 0.7174, 0.7668)
Mo (0.2574, 0.2289, 0.2490)
Mo (0.7587, 0.2323, 0.2551)
Mo (0.7591, 0.7268, 0.2535)
Mo (0.7631, 0.2316, 0.7437)
O (0.0855, 0.1349, 0.5830)
O (0.0990, 0.5542, 0.1644)
O (0.1051, 0.1563, 0.1450)
O (0.1282, 0.6052, 0.6292)
O (0.3615, 0.8624, 0.8850)
O (0.4119, 0.3125, 0.3550)
O (0.4226, 0.8963, 0.3417)
O (0.4343, 0.3247, 0.9055)
O (0.6622, 0.5810, 0.1578)
O (0.6730, 0.5735, 0.5815)
O (0.6785, 0.1199, 0.6023)
O (0.8485, 0.3162, 0.9082)
O (0.8598, 0.8952, 0.9266)
O (0.8715, 0.8901, 0.3082)

Top 12 peaks for 2θ from 5° to 70°, sorted by position:
28.8 deg, intensity 50.6; 29.0 deg, intensity 100.0; 29.4 deg, intensity 49.6; 33.7 deg, intensity 64.4; 48.0 deg, intensity 32.8; 48.2 deg, intensity 16.7; 48.5 deg, intensity 15.6; 48.7 deg, intensity 30.3; 57.1 deg, intensity 21.2; 57.3 deg, intensity 14.0; 57.4 deg, intensity 20.5; 57.8 deg, intensity 19.2